No. 1
This entry pairs a crystal structure of Ba2TaMnO6 with its theoretical X-ray diffraction stick pattern. Radiation: CuKα. Structure: a cell relaxed with PBE+U.

Peak list (8 most intense, 15° ≤ 2θ ≤ 90°, by angle)
hkl	2θ/deg	Rel. int.
1 0 1	18.70	23
1 1 2	30.35	100
2 0 0	31.61	45
0 0 4	41.53	17
2 2 0	45.31	26
2 0 4	53.11	21
3 1 2	55.52	37
2 2 4	63.14	18

Atomic structure:
Unit cell a=5.6604 b=5.6604 c=8.6986 alpha=90.00 beta=90.00 gamma=90.00
Space group I4/mmm (No. 139)
One atom of each set of equivalent atoms:
1 Ba 0.0000 0.5000 0.2500 (multiplicity 4)
2 Ta 0.0000 0.0000 0.0000 (multiplicity 2)
3 Mn 0.0000 0.0000 0.5000 (multiplicity 2)
4 O 0.0000 0.0000 0.2288 (multiplicity 4)
5 O 0.2470 0.2470 0.5000 (multiplicity 8)



No. 2
This entry pairs a crystal structure of Ba2TaMnO6 with its theoretical X-ray diffraction stick pattern. Radiation: CuKα. Structure: a cell relaxed with PBE+U.

Peak list (8 most intense, 15° ≤ 2θ ≤ 90°, by angle)
hkl	2θ/deg	Rel. int.
2 1 0	18.68	24
0 0 2	30.32	26
4 0 0	30.44	26
2 2 1	30.92	100
4 0 2	43.50	30
2 2 3	54.24	19
6 2 1	54.40	20
4 4 0	55.34	19

Atomic structure:
Unit cell a=11.7458 b=8.0429 c=5.8962 alpha=90.00 beta=90.00 gamma=90.00
Space group Pnma (No. 62)
One atom of each set of equivalent atoms:
1 Ba 0.1254 0.0003 0.2369 (multiplicity 8)
2 Ta 0.1250 0.2500 0.7337 (multiplicity 4)
3 Mn 0.1258 0.7500 0.7380 (multiplicity 4)
4 O 0.0025 0.2500 0.4821 (multiplicity 4)
5 O 0.0072 0.2500 0.9655 (multiplicity 4)
6 O 0.1256 0.5018 0.7303 (multiplicity 8)
7 O 0.2459 0.2500 0.9582 (multiplicity 4)
8 O 0.2492 0.2500 0.4743 (multiplicity 4)



No. 3
This entry pairs a crystal structure of Ba2TaMnO6 with its theoretical X-ray diffraction stick pattern. Radiation: CuKα. Structure: a cell relaxed with PBE+U.

Peak list (8 most intense, 15° ≤ 2θ ≤ 90°, by angle)
hkl	2θ/deg	Rel. int.
0 0 4	18.68	24
1 1 -1	30.32	26
1 -1 5	30.45	26
1 -2 0	30.92	100
2 0 4	43.51	31
2 1 -7	54.24	15
1 0 10	54.32	15
-1 1 11	55.28	15

Atomic structure:
Unit cell a=5.7816 b=5.7827 c=19.2558 alpha=91.59 beta=97.33 gamma=118.70
Space group P1 (No. 1)
One atom of each set of equivalent atoms:
1 Ba 0.0000 0.0000 0.0000 (multiplicity 1)
2 Ba 0.0005 0.4995 0.4997 (multiplicity 1)
3 Ba 0.2351 0.1068 0.3748 (multiplicity 1)
4 Ba 0.2349 0.6060 0.8747 (multiplicity 1)
5 Ba 0.4850 0.2313 0.7500 (multiplicity 1)
6 Ba 0.4851 0.7318 0.2500 (multiplicity 1)
7 Ba 0.7503 0.3742 0.1244 (multiplicity 1)
8 Ba 0.7502 0.8735 0.6244 (multiplicity 1)
9 Ta 0.3802 0.1911 0.5623 (multiplicity 1)
10 Ta 0.3801 0.6915 0.0623 (multiplicity 1)
11 Ta 0.8551 0.4147 0.3121 (multiplicity 1)
12 Ta 0.8551 0.9140 0.8121 (multiplicity 1)
13 Mn 0.1175 0.5524 0.6872 (multiplicity 1)
14 Mn 0.1176 0.0529 0.1873 (multiplicity 1)
15 Mn 0.6175 0.3028 0.9372 (multiplicity 1)
16 Mn 0.6179 0.8030 0.4371 (multiplicity 1)
17 O 0.0338 0.0226 0.5019 (multiplicity 1)
18 O 0.0338 0.5226 0.0020 (multiplicity 1)
19 O 0.2013 0.0828 0.8725 (multiplicity 1)
20 O 0.2017 0.5855 0.3723 (multiplicity 1)
21 O 0.2590 0.3841 0.6251 (multiplicity 1)
22 O 0.2589 0.8843 0.1251 (multiplicity 1)
23 O 0.2695 0.4043 0.1222 (multiplicity 1)
24 O 0.2696 0.9040 0.6221 (multiplicity 1)
25 O 0.4740 0.2233 0.2509 (multiplicity 1)
26 O 0.4740 0.7231 0.7508 (multiplicity 1)
27 O 0.5112 0.0081 0.4993 (multiplicity 1)
28 O 0.5114 0.0139 0.0015 (multiplicity 1)
29 O 0.5112 0.5083 0.9994 (multiplicity 1)
30 O 0.5115 0.5135 0.5014 (multiplicity 1)
31 O 0.7243 0.0927 0.3730 (multiplicity 1)
32 O 0.7240 0.0971 0.8750 (multiplicity 1)
33 O 0.7237 0.5914 0.8729 (multiplicity 1)
34 O 0.7239 0.5977 0.3750 (multiplicity 1)
35 O 0.7614 0.8826 0.1236 (multiplicity 1)
36 O 0.7615 0.3823 0.6235 (multiplicity 1)
37 O 0.9660 0.2014 0.7522 (multiplicity 1)
38 O 0.9656 0.7017 0.2521 (multiplicity 1)
39 O 0.9767 0.2217 0.2495 (multiplicity 1)
40 O 0.9774 0.7216 0.7495 (multiplicity 1)



No. 4
This entry pairs a crystal structure of Ba2TaMnO6 with its theoretical X-ray diffraction stick pattern. Radiation: CuKα. Structure: a cell relaxed with PBE+U.

Peak list (8 most intense, 15° ≤ 2θ ≤ 90°, by angle)
hkl	2θ/deg	Rel. int.
1 1 1	18.70	16
2 2 0	30.76	100
3 1 1	36.24	9
4 0 0	44.06	30
4 2 2	54.70	40
4 4 0	64.08	18
6 2 0	72.76	17
6 4 2	89.14	22

Atomic structure:
Unit cell a=8.2207 b=8.2207 c=8.2207 alpha=90.00 beta=90.00 gamma=90.00
Space group Fm-3m (No. 225)
One atom of each set of equivalent atoms:
1 Ba 0.2500 0.2500 0.2500 (multiplicity 8)
2 Ta 0.0000 0.0000 0.0000 (multiplicity 4)
3 Mn 0.0000 0.0000 0.5000 (multiplicity 4)
4 O 0.0000 0.0000 0.2451 (multiplicity 24)



No. 5
This entry pairs a crystal structure of Ba3Ta2MnO9 with its theoretical X-ray diffraction stick pattern. Radiation: CuKα. Structure: a cell relaxed with PBE+U.

Peak list (8 most intense, 15° ≤ 2θ ≤ 90°, by angle)
hkl	2θ/deg	Rel. int.
0 1 2	30.26	100
1 1 0	30.37	97
2 0 2	43.41	57
1 0 4	53.69	20
3 0 0	53.91	60
0 2 4	62.94	18
2 1 4	71.48	18
4 1 0	87.71	21

Atomic structure:
Unit cell a=5.8865 b=5.8865 c=7.2468 alpha=90.00 beta=90.00 gamma=120.00
Space group P-3m1 (No. 164)
One atom of each set of equivalent atoms:
1 Ba 0.0000 0.0000 0.0000 (multiplicity 1)
2 Ba 0.3333 0.6667 0.6633 (multiplicity 2)
3 Ta 0.3333 0.6667 0.1727 (multiplicity 2)
4 Mn 0.0000 0.0000 0.5000 (multiplicity 1)
5 O 0.0000 0.5000 0.0000 (multiplicity 3)
6 O 0.1742 0.3483 0.3200 (multiplicity 6)



No. 6
This entry pairs a crystal structure of BaTb2Mn2O7 with its theoretical X-ray diffraction stick pattern. Radiation: CuKα. Structure: a cell relaxed with PBE+U.

Peak list (8 most intense, 15° ≤ 2θ ≤ 90°, by angle)
hkl	2θ/deg	Rel. int.
1 1 1	22.76	21
0 6 0	26.85	15
2 0 0	31.56	30
1 5 1	31.76	100
0 0 2	31.94	32
2 0 2	45.52	42
3 5 1	56.33	19
1 5 3	56.81	18

Atomic structure:
Unit cell a=5.6692 b=19.9226 c=5.6033 alpha=90.00 beta=90.01 gamma=90.00
Space group C2/m (No. 12)
One atom of each set of equivalent atoms:
1 Ba 0.2413 0.0000 0.2541 (multiplicity 4)
2 Tb 0.2227 0.1832 0.2731 (multiplicity 8)
3 Mn 0.2451 0.3959 0.2447 (multiplicity 8)
4 O 0.0000 0.1000 0.5000 (multiplicity 4)
5 O 0.0000 0.1085 0.0000 (multiplicity 4)
6 O 0.0000 0.3725 0.0000 (multiplicity 4)
7 O 0.0000 0.3818 0.5000 (multiplicity 4)
8 O 0.1750 0.2105 0.7165 (multiplicity 8)
9 O 0.2200 0.5000 0.2356 (multiplicity 4)